No. 1
For Li5SbS, a structure optimized by DFT (GGA-PBE) gives the calculated XRD peak list in this record (Cu Ka).
No peak broadening, texture or thermal motion is included.

Structure:
Lattice parameters (Å, degrees): 9.750 6.159 8.185 90.00 90.00 90.00
Space group Pnma (No. 62)
One atom of each set of equivalent atoms:
Li 0.083 0.014 0.162 (multiplicity 8)
Li 0.130 0.502 0.549 (multiplicity 8)
Li 0.185 0.250 0.825 (multiplicity 4)
Sb 0.173 0.750 0.867 (multiplicity 4)
S 0.037 0.750 0.357 (multiplicity 4)

Largest 10 diffraction maxima, in order of falling intensity, 5 to 70 degrees two-theta:
| Position (°2θ) | I (rel.) |
| --- | --- |
| 23.27 | 100 |
| 23.58 | 95 |
| 20.21 | 94 |
| 37.71 | 82 |
| 27.73 | 80 |
| 25.72 | 66 |
| 18.03 | 49 |
| 29.00 | 46 |
| 41.90 | 38 |
| 29.57 | 37 |

No. 2
For MgTiPbO3, a structure optimized by DFT (GGA-PBE) gives the calculated XRD peak list in this record (Cu Ka).
No peak broadening, texture or thermal motion is included.

Structure:
Lattice parameters (Å, degrees): 3.496 3.892 7.453 90.00 90.00 90.00
Space group Pmm2 (No. 25)
One atom of each set of equivalent atoms:
Mg 0.000 0.000 0.000 (multiplicity 1)
Ti 0.000 0.500 0.293 (multiplicity 1)
Pb 0.500 0.000 0.637 (multiplicity 1)
O 0.000 0.000 0.276 (multiplicity 1)
O 0.000 0.500 0.044 (multiplicity 1)
O 0.500 0.500 0.410 (multiplicity 1)

Largest 10 diffraction maxima, in order of falling intensity, 5 to 70 degrees two-theta:
| Position (°2θ) | I (rel.) |
| --- | --- |
| 28.19 | 100 |
| 11.87 | 88 |
| 25.83 | 80 |
| 36.59 | 48 |
| 33.29 | 44 |
| 42.38 | 43 |
| 34.48 | 34 |
| 35.20 | 32 |
| 55.43 | 29 |
| 22.85 | 29 |

No. 3
For Li4Cu7P6O24, a structure optimized by DFT (GGA-PBE) gives the calculated XRD peak list in this record (Cu Ka).
No peak broadening, texture or thermal motion is included.

Structure:
Lattice parameters (Å, degrees): 10.692 14.155 6.304 90.00 104.51 90.00
Space group Cm (No. 8)
One atom of each set of equivalent atoms:
Li 0.000 0.000 0.000 (multiplicity 2)
Li 0.146 0.500 0.909 (multiplicity 2)
Li 0.440 0.110 0.002 (multiplicity 4)
Cu 0.008 0.000 0.496 (multiplicity 2)
Cu 0.009 0.344 0.495 (multiplicity 4)
Cu 0.187 0.180 0.311 (multiplicity 4)
Cu 0.330 0.321 0.676 (multiplicity 4)
P 0.109 0.192 0.796 (multiplicity 4)
P 0.186 0.500 0.413 (multiplicity 2)
P 0.328 0.000 0.572 (multiplicity 2)
P 0.406 0.312 0.193 (multiplicity 4)
O 0.004 0.110 0.735 (multiplicity 4)
O 0.014 0.109 0.260 (multiplicity 4)
O 0.028 0.284 0.790 (multiplicity 4)
O 0.079 0.500 0.199 (multiplicity 2)
O 0.172 0.414 0.566 (multiplicity 4)
O 0.191 0.207 0.624 (multiplicity 4)
O 0.195 0.000 0.619 (multiplicity 2)
O 0.203 0.165 0.013 (multiplicity 4)
O 0.317 0.345 0.974 (multiplicity 4)
O 0.319 0.500 0.363 (multiplicity 2)
O 0.323 0.297 0.362 (multiplicity 4)
O 0.345 0.088 0.431 (multiplicity 4)
O 0.435 0.000 0.790 (multiplicity 2)
O 0.482 0.218 0.194 (multiplicity 4)

Largest 10 diffraction maxima, in order of falling intensity, 5 to 70 degrees two-theta:
| Position (°2θ) | I (rel.) |
| --- | --- |
| 14.51 | 100 |
| 32.14 | 96 |
| 24.07 | 66 |
| 34.24 | 66 |
| 12.51 | 49 |
| 38.14 | 47 |
| 41.25 | 20 |
| 43.54 | 16 |
| 34.07 | 15 |
| 31.94 | 15 |

No. 4
For RbLaTiNbO6F, a structure optimized by DFT (GGA-PBE) gives the calculated XRD peak list in this record (Cu Ka).
No peak broadening, texture or thermal motion is included.

Structure:
Lattice parameters (Å, degrees): 3.872 3.916 11.289 90.00 90.00 90.00
Space group Pmm2 (No. 25)
One atom of each set of equivalent atoms:
Rb 0.000 0.000 0.000 (multiplicity 1)
La 0.000 0.000 0.498 (multiplicity 1)
Ti 0.500 0.500 0.292 (multiplicity 1)
Nb 0.500 0.500 0.703 (multiplicity 1)
O 0.000 0.500 0.332 (multiplicity 1)
O 0.000 0.500 0.663 (multiplicity 1)
O 0.500 0.000 0.661 (multiplicity 1)
O 0.500 0.500 0.141 (multiplicity 1)
O 0.500 0.500 0.496 (multiplicity 1)
O 0.500 0.500 0.863 (multiplicity 1)
F 0.500 0.000 0.328 (multiplicity 1)

Largest 10 diffraction maxima, in order of falling intensity, 5 to 70 degrees two-theta:
| Position (°2θ) | I (rel.) |
| --- | --- |
| 7.83 | 100 |
| 27.94 | 76 |
| 27.73 | 76 |
| 32.52 | 54 |
| 46.05 | 32 |
| 55.01 | 22 |
| 55.38 | 21 |
| 46.38 | 21 |
| 46.93 | 18 |
| 36.30 | 15 |